The following is a theoretical powder diffraction line list of Ce4Pt. It was derived from a cell relaxed with PBE, using CuKα.
Peak positions follow from Bragg's law for the DFT cell and can differ from measured ones.

Principal peaks in the range 10° ≤ 2θ ≤ 80°, low angle first:
d 4.365, 2θ 20.35, intensity 46, (2 2 0)
d 3.019, 2θ 29.59, intensity 33, (0 2 2)
d 2.712, 2θ 33.03, intensity 100, (2 2 2)
d 2.682, 2θ 33.40, intensity 53, (3 3 1)
d 2.285, 2θ 39.43, intensity 85, (1 5 1)
d 2.182, 2θ 41.37, intensity 29, (4 4 0)
d 1.986, 2θ 45.68, intensity 30, (1 3 3)
d 1.694, 2θ 54.13, intensity 17, (1 7 1)
d 1.509, 2θ 61.43, intensity 25, (4 0 4)
d 1.326, 2θ 71.07, intensity 20, (7 3 3)

abc: 12.331 12.360 6.921
angles: 90.00 90.00 90.00
Space group Fdd2 (No. 43)
Inequivalent atoms, fractional coordinates:
Ce1 0.088 0.106 0.000 x16
Ce2 0.107 0.413 0.718 x16
Pt1 0.000 0.000 0.609 x8

The following is a theoretical powder diffraction line list of Ce3Pt5. It was derived from a cell relaxed with PBE, using CuKα.
Peak positions follow from Bragg's law for the DFT cell and can differ from measured ones.

Principal peaks in the range 10° ≤ 2θ ≤ 80°, low angle first:
d 2.738, 2θ 32.70, intensity 30, (3 2 1)
d 2.716, 2θ 32.98, intensity 34, (4 0 1)
d 2.594, 2θ 34.58, intensity 100, (4 2 0)
d 2.404, 2θ 37.41, intensity 88, (1 2 2)
d 2.395, 2θ 37.56, intensity 55, (0 4 0)
d 2.345, 2θ 38.39, intensity 69, (3 0 2)
d 2.307, 2θ 39.04, intensity 25, (3 3 1)
d 2.219, 2θ 40.66, intensity 28, (4 3 0)
d 2.097, 2θ 43.15, intensity 34, (1 3 2)
d 1.675, 2θ 54.80, intensity 24, (3 4 2)

abc: 12.345 9.578 5.706
angles: 90.00 90.00 90.00
Space group Pnma (No. 62)
Inequivalent atoms, fractional coordinates:
Ce1 0.073 0.250 0.099 x4
Ce2 0.149 0.015 0.611 x8
Pt1 0.007 0.750 0.443 x4
Pt2 0.093 0.551 0.114 x8
Pt3 0.218 0.750 0.852 x4
Pt4 0.226 0.750 0.343 x4

The following is a theoretical powder diffraction line list of CePuPtRh. It was derived from a cell relaxed with PBE, using CuKα.
Peak positions follow from Bragg's law for the DFT cell and can differ from measured ones.

Principal peaks in the range 10° ≤ 2θ ≤ 80°, low angle first:
d 2.782, 2θ 32.17, intensity 100, (1 1 1)
d 2.680, 2θ 33.43, intensity 35, (0 0 4)
d 2.647, 2θ 33.87, intensity 22, (0 1 3)
d 2.263, 2θ 39.83, intensity 18, (1 0 4)
d 2.243, 2θ 40.20, intensity 65, (1 1 3)
d 2.113, 2θ 42.80, intensity 26, (2 0 0)
d 1.969, 2θ 46.09, intensity 21, (0 2 0)
d 1.659, 2θ 55.37, intensity 17, (2 0 4)
d 1.587, 2θ 58.13, intensity 15, (0 2 4)
d 1.441, 2θ 64.71, intensity 15, (2 2 0)

abc: 4.226 3.939 10.721
angles: 90.00 90.00 90.00
Space group Amm2 (No. 38)
Inequivalent atoms, fractional coordinates:
Ce1 0.000 0.000 0.000 x2
Pu1 0.500 0.000 0.721 x2
Pt1 0.500 0.000 0.442 x2
Rh1 0.000 0.000 0.252 x2